[1]
Structure and calculated X-ray diffraction stick pattern of UZnNi6 (a cell relaxed with GGA-PBE; Cu Ka).
No peak broadening, texture or thermal motion is included.

Crystal structure
a b c (Å): 5.2061 5.2061 4.2835
angles (deg): 90.00 90.00 120.00
Positions (direct):
U  0.0000  0.0000  0.0000
Zn  0.3333  0.6667  0.5000
Ni  0.3456  0.1728  0.5000
Ni  0.5026  0.0053  0.0000
Ni  0.5026  0.4974  0.0000
Ni  0.8272  0.1728  0.5000
Ni  0.8272  0.6544  0.5000
Ni  0.9947  0.4974  0.0000

Largest 10 diffraction maxima, low angle first, 2θ = 10–90°:
two_theta  I (rel.)
19.7  26
28.7  29
40.0  28
40.6  9
42.2  27
45.5  100
59.5  17
72.6  15
79.5  18
87.8  19

---

[2]
Structure and calculated X-ray diffraction stick pattern of Pa4CoN7 (a cell relaxed with GGA-PBE; Cu Ka).
No peak broadening, texture or thermal motion is included.

Crystal structure
a b c (Å): 6.5937 6.5937 8.9374
angles (deg): 130.56 130.56 33.80
Positions (direct):
Pa  0.0774  0.0774  0.3708
Pa  0.2450  0.2450  0.1590
Pa  0.7550  0.7550  0.8410
Pa  0.9226  0.9226  0.6292
Co  0.5000  0.5000  0.0000
N  0.0000  0.0000  0.0000
N  0.1301  0.1301  0.6832
N  0.3012  0.3012  0.4579
N  0.4049  0.4049  0.1086
N  0.5951  0.5951  0.8914
N  0.6988  0.6988  0.5421
N  0.8699  0.8699  0.3168

Largest 10 diffraction maxima, low angle first, 2θ = 10–90°:
two_theta  I (rel.)
25.1  29
28.3  30
30.3  23
31.0  32
31.2  62
31.7  100
32.5  82
47.3  35
47.4  25
57.9  22

---

[3]
Structure and calculated X-ray diffraction stick pattern of Cs8TeI5 (a cell relaxed with GGA-PBE; Cu Ka).
No peak broadening, texture or thermal motion is included.

Crystal structure
a b c (Å): 10.2108 10.2108 10.2108
angles (deg): 109.31 109.31 109.80
Positions (direct):
Cs  0.1091  0.7115  0.7411
Cs  0.1162  0.2368  0.7428
Cs  0.2885  0.0297  0.3976
Cs  0.4941  0.3735  0.2572
Cs  0.6265  0.8838  0.1206
Cs  0.6321  0.8909  0.6024
Cs  0.7632  0.5059  0.8794
Cs  0.9703  0.3679  0.2589
Te  0.7500  0.2500  0.5000
I  0.0000  0.0000  0.0000
I  0.2455  0.6216  0.1293
I  0.3784  0.5077  0.6240
I  0.4923  0.1163  0.8707
I  0.8837  0.7545  0.3760

Largest 10 diffraction maxima, low angle first, 2θ = 10–90°:
two_theta  I (rel.)
23.8  100
24.0  47
28.3  65
28.4  38
35.7  15
37.3  19
38.9  24
47.5  29
47.7  15
57.3  17